Entry 1:
Structure and computed powder diffraction line list of Rb4TaSe4 (a cell relaxed with GGA-PBE; Cu Ka).

Structural model:
```
data_Rb4TaSe4
_symmetry_space_group_name_H-M 'P 1'
_symmetry_Int_Tables_number 1
_symmetry_space_group_name_Hall 'P 1'
_cell_length_a 8.8544
_cell_length_b 8.8544
_cell_length_c 8.8544
_cell_angle_alpha 124.11
_cell_angle_beta 124.11
_cell_angle_gamma 83.02
loop_
_atom_site_label
_atom_site_type_symbol
_atom_site_fract_x
_atom_site_fract_y
_atom_site_fract_z
Rb1 Rb 0.0000 0.5000 0.5000
Rb2 Rb 0.1880 0.1880 0.0000
Rb3 Rb 0.5000 0.0000 0.5000
Rb4 Rb 0.8120 0.8120 0.0000
Ta1 Ta 0.5000 0.5000 0.0000
Se1 Se 0.2236 0.5661 0.0000
Se2 Se 0.4339 0.4339 0.6575
Se3 Se 0.5661 0.2236 0.0000
Se4 Se 0.7764 0.7764 0.3425
```

Largest 10 diffraction maxima, by angle, 2θ = 15–90°:
2theta	I/Imax
15.10	50
20.21	57
21.41	43
22.79	47
30.47	57
31.47	100
34.63	54
38.39	34
46.56	32
49.78	28

---

Entry 2:
Structure and computed powder diffraction line list of RbTa5Se8 (a cell relaxed with GGA-PBE; Cu Ka).

Structural model:
```
data_RbTa5Se8
_symmetry_space_group_name_H-M 'P 1'
_symmetry_Int_Tables_number 1
_symmetry_space_group_name_Hall 'P 1'
_cell_length_a 10.3149
_cell_length_b 10.3149
_cell_length_c 10.1100
_cell_angle_alpha 110.23
_cell_angle_beta 110.23
_cell_angle_gamma 19.21
loop_
_atom_site_label
_atom_site_type_symbol
_atom_site_fract_x
_atom_site_fract_y
_atom_site_fract_z
Rb1 Rb 0.0000 0.0000 0.0000
Ta1 Ta 0.1264 0.1264 0.5400
Ta2 Ta 0.2066 0.2066 0.8802
Ta3 Ta 0.5000 0.5000 0.5000
Ta4 Ta 0.7934 0.7934 0.1198
Ta5 Ta 0.8736 0.8736 0.4600
Se1 Se 0.0635 0.0635 0.7118
Se2 Se 0.2753 0.2753 0.3147
Se3 Se 0.3416 0.3416 0.9820
Se4 Se 0.4129 0.4129 0.6595
Se5 Se 0.5871 0.5871 0.3405
Se6 Se 0.6584 0.6584 0.0180
Se7 Se 0.7247 0.7247 0.6853
Se8 Se 0.9365 0.9365 0.2882
```

Largest 10 diffraction maxima, by angle, 2θ = 15–90°:
2theta	I/Imax
17.68	78
18.74	46
32.53	69
34.14	45
35.77	100
37.58	92
37.87	77
38.61	46
39.33	45
45.73	45

---

Entry 3:
Structure and computed powder diffraction line list of Rb3Tb3TaSe8 (a cell relaxed with GGA-PBE; Cu Ka).

Structural model:
```
data_Rb3Tb3TaSe8
_symmetry_space_group_name_H-M 'P 1'
_symmetry_Int_Tables_number 1
_symmetry_space_group_name_Hall 'P 1'
_cell_length_a 8.2142
_cell_length_b 8.2142
_cell_length_c 9.4792
_cell_angle_alpha 115.68
_cell_angle_beta 115.68
_cell_angle_gamma 59.99
loop_
_atom_site_label
_atom_site_type_symbol
_atom_site_fract_x
_atom_site_fract_y
_atom_site_fract_z
Rb1 Rb 0.0000 0.0000 0.0000
Rb2 Rb 0.0000 0.5000 0.0000
Rb3 Rb 0.5000 0.0000 0.0000
Tb1 Tb 0.0000 0.5000 0.5000
Tb2 Tb 0.5000 0.0000 0.5000
Tb3 Tb 0.5000 0.5000 0.5000
Ta1 Ta 0.0000 0.0000 0.5000
Se1 Se 0.2170 0.2170 0.6863
Se2 Se 0.2173 0.7533 0.6862
Se3 Se 0.2467 0.7827 0.3138
Se4 Se 0.2673 0.2673 0.3020
Se5 Se 0.7327 0.7327 0.6980
Se6 Se 0.7533 0.2173 0.6862
Se7 Se 0.7827 0.2467 0.3138
Se8 Se 0.7830 0.7830 0.3137
```

Largest 10 diffraction maxima, by angle, 2θ = 15–90°:
2theta	I/Imax
28.99	100
35.91	20
38.69	34
44.11	39
45.54	10
48.03	12
53.65	17
60.09	9
64.17	9
71.89	14

---

Entry 4:
Structure and computed powder diffraction line list of RbTa2VSe8 (a cell relaxed with GGA-PBE; Cu Ka).

Structural model:
```
data_RbTa2VSe8
_symmetry_space_group_name_H-M 'P 1'
_symmetry_Int_Tables_number 1
_symmetry_space_group_name_Hall 'P 1'
_cell_length_a 10.2030
_cell_length_b 10.2030
_cell_length_c 10.2030
_cell_angle_alpha 38.05
_cell_angle_beta 38.05
_cell_angle_gamma 38.05
loop_
_atom_site_label
_atom_site_type_symbol
_atom_site_fract_x
_atom_site_fract_y
_atom_site_fract_z
Rb1 Rb 0.0000 0.0000 0.0000
Ta1 Ta 0.2389 0.2389 0.2389
Ta2 Ta 0.7611 0.7611 0.7611
V1 V 0.5000 0.5000 0.5000
Se1 Se 0.1465 0.7677 0.4330
Se2 Se 0.2323 0.5670 0.8535
Se3 Se 0.3217 0.3217 0.3217
Se4 Se 0.4330 0.1465 0.7677
Se5 Se 0.5670 0.8535 0.2323
Se6 Se 0.6783 0.6783 0.6783
Se7 Se 0.7677 0.4330 0.1465
Se8 Se 0.8535 0.2323 0.5670
```

Largest 10 diffraction maxima, by angle, 2θ = 15–90°:
2theta	I/Imax
16.61	56
19.86	100
26.81	47
28.32	52
28.45	77
32.93	44
33.59	32
47.18	54
47.34	78
56.11	51

---

- Which formula does entry 3 have?
  Rb3Tb3TaSe8